Entry 1:
Ba2PaBr3O3: theoretical powder XRD pattern (copper Kα), based on a PBE-relaxed structure.

Most intense lines, 10° ≤ 2θ ≤ 90°, low angle first:
| Position (°2θ) | Rel. int. |
| --- | --- |
| 21.1 | 100.0 |
| 24.4 | 21.1 |
| 28.0 | 42.6 |
| 33.0 | 22.0 |
| 35.3 | 78.8 |
| 36.9 | 50.0 |
| 41.5 | 54.6 |
| 42.9 | 21.1 |
| 52.0 | 22.9 |
| 61.2 | 32.2 |

Structural model:
Unit cell a=8.4296 b=8.4296 c=3.5461 alpha=90.00 beta=90.00 gamma=120.00
Element x y z (fractional)
Ba: 0.3333 0.6667 0.0000
Ba: 0.6667 0.3333 0.0000
Pa: 0.0000 0.0000 0.5000
Br: 0.0000 0.5975 0.5000
Br: 0.4025 0.4025 0.5000
Br: 0.5975 0.0000 0.5000
O: 0.0000 0.1779 0.0000
O: 0.1779 0.0000 0.0000
O: 0.8221 0.8221 0.0000



Entry 2:
Ba4Pa3BrO12: theoretical powder XRD pattern (copper Kα), based on a PBE-relaxed structure.

Most intense lines, 10° ≤ 2θ ≤ 90°, low angle first:
| Position (°2θ) | Rel. int. |
| --- | --- |
| 13.7 | 8.0 |
| 19.5 | 7.1 |
| 23.9 | 4.5 |
| 27.7 | 100.0 |
| 39.5 | 28.2 |
| 48.9 | 42.5 |
| 57.1 | 18.4 |
| 64.7 | 19.6 |
| 71.7 | 6.1 |
| 78.5 | 22.7 |

Structural model:
Unit cell a=7.8964 b=7.8964 c=7.8964 alpha=109.47 beta=109.47 gamma=109.47
Element x y z (fractional)
Ba: 0.0000 0.0000 0.5000
Ba: 0.0000 0.5000 0.0000
Ba: 0.5000 0.0000 0.0000
Ba: 0.5000 0.5000 0.5000
Pa: 0.0000 0.5000 0.5000
Pa: 0.5000 0.0000 0.5000
Pa: 0.5000 0.5000 0.0000
Br: 0.0000 0.0000 0.0000
O: 0.0000 0.2808 0.2808
O: 0.0000 0.7192 0.7192
O: 0.2500 0.5000 0.7500
O: 0.2500 0.7500 0.5000
O: 0.2808 0.0000 0.2808
O: 0.2808 0.2808 0.0000
O: 0.5000 0.2500 0.7500
O: 0.5000 0.7500 0.2500
O: 0.7192 0.0000 0.7192
O: 0.7192 0.7192 0.0000
O: 0.7500 0.2500 0.5000
O: 0.7500 0.5000 0.2500



Entry 3:
Ba2PmBr2O2: theoretical powder XRD pattern (copper Kα), based on a PBE-relaxed structure.

Most intense lines, 10° ≤ 2θ ≤ 90°, low angle first:
| Position (°2θ) | Rel. int. |
| --- | --- |
| 10.5 | 19.7 |
| 27.0 | 81.3 |
| 32.7 | 100.0 |
| 38.5 | 39.6 |
| 51.4 | 56.6 |
| 55.6 | 13.2 |
| 61.8 | 10.8 |
| 62.9 | 15.2 |
| 66.1 | 12.9 |
| 79.2 | 16.7 |

Structural model:
Unit cell a=9.0569 b=9.0569 c=9.0569 alpha=150.11 beta=150.11 gamma=42.78
Element x y z (fractional)
Ba: 0.1082 0.1082 0.0000
Ba: 0.8918 0.8918 0.0000
Pm: 0.5000 0.5000 0.0000
Br: 0.3163 0.3163 0.0000
Br: 0.6837 0.6837 0.0000
O: 0.0000 0.5000 0.5000
O: 0.5000 0.0000 0.5000



Entry 4:
BaPrBrO2: theoretical powder XRD pattern (copper Kα), based on a PBE-relaxed structure.

Most intense lines, 10° ≤ 2θ ≤ 90°, low angle first:
| Position (°2θ) | Rel. int. |
| --- | --- |
| 12.4 | 31.6 |
| 23.8 | 82.0 |
| 28.8 | 66.2 |
| 32.3 | 100.0 |
| 41.2 | 36.4 |
| 48.1 | 53.8 |
| 53.2 | 47.7 |
| 59.6 | 21.3 |
| 67.5 | 18.2 |
| 80.0 | 19.7 |

Structural model:
Unit cell a=4.3865 b=4.3865 c=7.1600 alpha=90.00 beta=90.00 gamma=90.00
Element x y z (fractional)
Ba: 0.0000 0.0000 0.0000
Pr: 0.5000 0.5000 0.3145
Br: 0.5000 0.5000 0.7395
O: 0.0000 0.5000 0.2013
O: 0.5000 0.0000 0.2013



Entry 5:
Rb3Ba2Br3O2: theoretical powder XRD pattern (copper Kα), based on a PBE-relaxed structure.

Most intense lines, 10° ≤ 2θ ≤ 90°, low angle first:
| Position (°2θ) | Rel. int. |
| --- | --- |
| 24.7 | 29.4 |
| 25.5 | 100.0 |
| 25.7 | 97.7 |
| 27.9 | 87.2 |
| 31.5 | 81.9 |
| 35.2 | 93.7 |
| 44.1 | 88.7 |
| 50.6 | 32.2 |
| 52.7 | 26.8 |
| 57.6 | 60.8 |

Structural model:
Unit cell a=14.3268 b=14.3268 c=14.3268 alpha=159.50 beta=159.50 gamma=29.15
Element x y z (fractional)
Rb: 0.0000 0.0000 0.0000
Rb: 0.3760 0.3760 0.0000
Rb: 0.6240 0.6240 0.0000
Ba: 0.2500 0.7500 0.5000
Ba: 0.7500 0.2500 0.5000
Br: 0.1329 0.1329 0.0000
Br: 0.5000 0.5000 0.0000
Br: 0.8671 0.8671 0.0000
O: 0.2770 0.2770 0.0000
O: 0.7230 0.7230 0.0000



Entry 6:
Ba2RhBrO4: theoretical powder XRD pattern (copper Kα), based on a PBE-relaxed structure.

Most intense lines, 10° ≤ 2θ ≤ 90°, low angle first:
| Position (°2θ) | Rel. int. |
| --- | --- |
| 18.6 | 32.0 |
| 21.9 | 50.2 |
| 28.0 | 23.0 |
| 29.7 | 100.0 |
| 31.1 | 44.2 |
| 36.5 | 30.8 |
| 36.9 | 30.0 |
| 38.9 | 35.0 |
| 42.1 | 24.5 |
| 57.9 | 25.5 |

Structural model:
Unit cell a=5.1258 b=5.1258 c=10.3163 alpha=108.16 beta=108.16 gamma=40.24
Element x y z (fractional)
Ba: 0.1744 0.1744 0.2777
Ba: 0.8256 0.8256 0.7223
Rh: 0.0000 0.0000 0.5000
Br: 0.5000 0.5000 0.0000
O: 0.1137 0.1137 0.6899
O: 0.3871 0.3871 0.5337
O: 0.6129 0.6129 0.4663
O: 0.8863 0.8863 0.3101



Entry 7:
Ba7Ru4Br2O15: theoretical powder XRD pattern (copper Kα), based on a PBE-relaxed structure.

Most intense lines, 10° ≤ 2θ ≤ 90°, low angle first:
| Position (°2θ) | Rel. int. |
| --- | --- |
| 24.1 | 15.8 |
| 29.2 | 55.4 |
| 30.3 | 100.0 |
| 32.0 | 18.6 |
| 39.1 | 11.5 |
| 39.7 | 11.9 |
| 42.6 | 26.8 |
| 53.2 | 19.7 |
| 53.9 | 19.6 |
| 63.1 | 17.0 |

Structural model:
Unit cell a=18.1282 b=18.1282 c=18.1282 alpha=18.71 beta=18.71 gamma=18.71
Element x y z (fractional)
Ba: 0.0000 0.0000 0.0000
Ba: 0.0815 0.0815 0.0815
Ba: 0.2085 0.2085 0.2085
Ba: 0.2872 0.2872 0.2872
Ba: 0.7128 0.7128 0.7128
Ba: 0.7915 0.7915 0.7915
Ba: 0.9185 0.9185 0.9185
Ru: 0.3529 0.3529 0.3529
Ru: 0.4049 0.4049 0.4049
Ru: 0.5951 0.5951 0.5951
Ru: 0.6471 0.6471 0.6471
Br: 0.1439 0.1439 0.1439
Br: 0.8561 0.8561 0.8561
O: 0.0000 0.5000 0.5000
O: 0.1011 0.5839 0.5839
O: 0.2273 0.2273 0.6790
O: 0.2273 0.6790 0.2273
O: 0.3210 0.7727 0.7727
O: 0.4161 0.4161 0.8989
O: 0.4161 0.8989 0.4161
O: 0.5000 0.0000 0.5000
O: 0.5000 0.5000 0.0000
O: 0.5839 0.1011 0.5839
O: 0.5839 0.5839 0.1011
O: 0.6790 0.2273 0.2273
O: 0.7727 0.3210 0.7727
O: 0.7727 0.7727 0.3210
O: 0.8989 0.4161 0.4161



Entry 8:
Ba8Ta2Ru3Br2O18: theoretical powder XRD pattern (copper Kα), based on a PBE-relaxed structure.

Most intense lines, 10° ≤ 2θ ≤ 90°, low angle first:
| Position (°2θ) | Rel. int. |
| --- | --- |
| 23.7 | 16.9 |
| 29.4 | 44.9 |
| 30.1 | 100.0 |
| 30.7 | 18.8 |
| 38.7 | 14.3 |
| 40.6 | 15.8 |
| 42.6 | 23.5 |
| 53.0 | 16.5 |
| 53.4 | 19.9 |
| 62.5 | 17.1 |

Structural model:
Unit cell a=20.3410 b=20.3410 c=20.3410 alpha=16.80 beta=16.80 gamma=16.80
Element x y z (fractional)
Ba: 0.0582 0.0582 0.0582
Ba: 0.1297 0.1297 0.1297
Ba: 0.2429 0.2429 0.2429
Ba: 0.3122 0.3122 0.3122
Ba: 0.6878 0.6878 0.6878
Ba: 0.7571 0.7571 0.7571
Ba: 0.8703 0.8703 0.8703
Ba: 0.9418 0.9418 0.9418
Ta: 0.4172 0.4172 0.4172
Ta: 0.5828 0.5828 0.5828
Ru: 0.0000 0.0000 0.0000
Ru: 0.3696 0.3696 0.3696
Ru: 0.6304 0.6304 0.6304
Br: 0.1874 0.1874 0.1874
Br: 0.8126 0.8126 0.8126
O: 0.0921 0.5416 0.5416
O: 0.1836 0.1836 0.6897
O: 0.1836 0.6897 0.1836
O: 0.2411 0.7318 0.7318
O: 0.2682 0.2682 0.7589
O: 0.2682 0.7589 0.2682
O: 0.3103 0.8164 0.8164
O: 0.4584 0.4584 0.9079
O: 0.4584 0.9079 0.4584
O: 0.5416 0.0921 0.5416
O: 0.5416 0.5416 0.0921
O: 0.6897 0.1836 0.1836
O: 0.7318 0.2411 0.7318
O: 0.7318 0.7318 0.2411
O: 0.7589 0.2682 0.2682
O: 0.8164 0.3103 0.8164
O: 0.8164 0.8164 0.3103
O: 0.9079 0.4584 0.4584